# Rb2Cd10In
Theoretical X-ray diffraction stick pattern, a wavelength of 1.5418 Å. Input: a crystal structure in Alexandria, relaxed with PBE.

```
Rb2Cd10In
1.0
10.599 0.000 0.000
0.000 11.345 0.000
0.000 0.000 7.048
Rb Cd In
4 20 2
direct
0.221 0.043 0.000 Rb
0.279 0.543 0.000 Rb
0.721 0.457 0.000 Rb
0.779 0.957 0.000 Rb
0.033 0.128 0.500 Cd
0.055 0.314 0.203 Cd
0.055 0.314 0.797 Cd
0.193 0.700 0.500 Cd
0.234 0.945 0.500 Cd
0.266 0.445 0.500 Cd
0.307 0.200 0.500 Cd
0.445 0.814 0.203 Cd
0.445 0.814 0.797 Cd
0.467 0.628 0.500 Cd
0.533 0.372 0.500 Cd
0.555 0.186 0.203 Cd
0.555 0.186 0.797 Cd
0.693 0.800 0.500 Cd
0.734 0.555 0.500 Cd
0.766 0.055 0.500 Cd
0.807 0.300 0.500 Cd
0.945 0.686 0.203 Cd
0.945 0.686 0.797 Cd
0.967 0.872 0.500 Cd
0.000 0.500 0.500 In
0.500 0.000 0.500 In
```

Most intense lines, 2θ from 5° to 70°, in order of rising 2θ:
2θ 12.56, 7.048 Å, I = 1000, (0 0 1)
2θ 25.27, 3.524 Å, I = 287, (0 0 2)
2θ 28.07, 3.179 Å, I = 298, (1 3 1)
2θ 29.84, 2.994 Å, I = 302, (0 2 2)
2θ 30.46, 2.935 Å, I = 275, (2 0 2)
2θ 34.76, 2.581 Å, I = 461, (4 1 0)
2θ 35.14, 2.554 Å, I = 536, (1 4 1)
2θ 35.85, 2.505 Å, I = 400, (1 3 2)
2θ 37.09, 2.424 Å, I = 335, (3 3 1)
2θ 43.45, 2.083 Å, I = 383, (3 3 2)